Entry 1:
Diffraction record for Fe5Sb3. The powder XRD pattern is theoretical, not measured: it uses a cell relaxed with PBE and Cu Ka.
Peak positions follow from Bragg's law for the DFT cell and can differ from measured ones.

Atomic structure:
Cell lengths 8.073, 8.073, 4.795 Å; angles 90.00, 90.00, 120.00 degrees
Positions (direct):
Fe1 0.000 0.170 0.250
Fe2 0.000 0.830 0.750
Fe3 0.170 0.000 0.250
Fe4 0.170 0.170 0.750
Fe5 0.333 0.667 0.000
Fe6 0.333 0.667 0.500
Fe7 0.667 0.333 0.000
Fe8 0.667 0.333 0.500
Fe9 0.830 0.000 0.750
Fe10 0.830 0.830 0.250
Sb1 0.000 0.380 0.750
Sb2 0.000 0.620 0.250
Sb3 0.380 0.000 0.750
Sb4 0.380 0.380 0.250
Sb5 0.620 0.000 0.250
Sb6 0.620 0.620 0.750

The 10 most intense peaks (2θ from 10° to 80°), sorted by position:
28.91 deg, I 100; 33.92 deg, I 19; 37.51 deg, I 27; 38.63 deg, I 47; 38.91 deg, I 94; 43.92 deg, I 40; 46.85 deg, I 29; 48.96 deg, I 60; 59.90 deg, I 21; 79.32 deg, I 25

***

Entry 2:
Diffraction record for Fe4Sb3. The powder XRD pattern is theoretical, not measured: it uses a cell relaxed with PBE and Cu Ka.
Peak positions follow from Bragg's law for the DFT cell and can differ from measured ones.

Atomic structure:
Cell lengths 3.213, 3.213, 23.822 Å; angles 90.00, 90.00, 90.00 degrees
Positions (direct):
Fe1 0.000 0.000 0.064
Fe2 0.000 0.000 0.386
Fe3 0.000 0.000 0.614
Fe4 0.000 0.000 0.936
Fe5 0.500 0.500 0.114
Fe6 0.500 0.500 0.436
Fe7 0.500 0.500 0.564
Fe8 0.500 0.500 0.886
Sb1 0.000 0.000 0.181
Sb2 0.000 0.000 0.500
Sb3 0.000 0.000 0.819
Sb4 0.500 0.500 0.000
Sb5 0.500 0.500 0.319
Sb6 0.500 0.500 0.681

The 10 most intense peaks (2θ from 10° to 80°), sorted by position:
22.39 deg, I 21; 30.00 deg, I 76; 38.53 deg, I 52; 39.66 deg, I 98; 44.34 deg, I 100; 57.34 deg, I 32; 66.07 deg, I 17; 71.23 deg, I 17; 75.24 deg, I 39; 76.49 deg, I 17

***

Entry 3:
Diffraction record for SmFeSb3. The powder XRD pattern is theoretical, not measured: it uses a cell relaxed with PBE and Cu Ka.
Peak positions follow from Bragg's law for the DFT cell and can differ from measured ones.

Atomic structure:
Cell lengths 12.702, 6.134, 6.042 Å; angles 90.00, 90.00, 90.00 degrees
Positions (direct):
Sm1 0.195 0.001 0.250
Sm2 0.195 0.499 0.750
Sm3 0.805 0.501 0.250
Sm4 0.805 0.999 0.750
Fe1 0.404 0.250 0.000
Fe2 0.404 0.250 0.500
Fe3 0.596 0.750 0.000
Fe4 0.596 0.750 0.500
Sb1 0.001 0.250 0.000
Sb2 0.001 0.250 0.500
Sb3 0.284 0.503 0.250
Sb4 0.284 0.997 0.750
Sb5 0.444 0.594 0.750
Sb6 0.444 0.906 0.250
Sb7 0.556 0.094 0.750
Sb8 0.556 0.406 0.250
Sb9 0.716 0.003 0.250
Sb10 0.716 0.497 0.750
Sb11 0.999 0.750 0.000
Sb12 0.999 0.750 0.500

The 10 most intense peaks (2θ from 10° to 80°), sorted by position:
29.58 deg, I 32; 30.41 deg, I 17; 32.42 deg, I 61; 32.82 deg, I 46; 35.12 deg, I 100; 36.16 deg, I 19; 36.54 deg, I 25; 41.98 deg, I 66; 56.11 deg, I 26; 70.44 deg, I 21

***

Entry 4:
Diffraction record for Fe2Sn2Sb. The powder XRD pattern is theoretical, not measured: it uses a cell relaxed with PBE and Cu Ka.
Peak positions follow from Bragg's law for the DFT cell and can differ from measured ones.

Atomic structure:
Cell lengths 7.023, 7.023, 4.021 Å; angles 90.00, 90.00, 90.00 degrees
Positions (direct):
Fe1 0.122 0.378 0.000
Fe2 0.378 0.878 0.000
Fe3 0.622 0.122 0.000
Fe4 0.878 0.622 0.000
Sn1 0.163 0.663 0.500
Sn2 0.337 0.163 0.500
Sn3 0.663 0.837 0.500
Sn4 0.837 0.337 0.500
Sb1 0.000 0.000 0.000
Sb2 0.500 0.500 0.000

The 10 most intense peaks (2θ from 10° to 80°), sorted by position:
28.42 deg, I 13; 28.56 deg, I 21; 33.89 deg, I 47; 36.30 deg, I 100; 40.63 deg, I 47; 45.09 deg, I 22; 58.86 deg, I 15; 60.49 deg, I 16; 62.30 deg, I 26; 76.83 deg, I 16

***

Entry 5:
Diffraction record for Th4FeSb. The powder XRD pattern is theoretical, not measured: it uses a cell relaxed with PBE and Cu Ka.
Peak positions follow from Bragg's law for the DFT cell and can differ from measured ones.

Atomic structure:
Cell lengths 7.909, 7.909, 6.031 Å; angles 100.90, 100.90, 111.13 degrees
Positions (direct):
Th1 0.058 0.723 0.946
Th2 0.200 0.383 0.633
Th3 0.277 0.942 0.554
Th4 0.383 0.200 0.133
Th5 0.617 0.800 0.867
Th6 0.723 0.058 0.446
Th7 0.800 0.617 0.367
Th8 0.942 0.277 0.054
Fe1 0.001 0.999 0.750
Fe2 0.999 0.001 0.250
Sb1 0.382 0.618 0.250
Sb2 0.618 0.382 0.750

The 10 most intense peaks (2θ from 10° to 80°), sorted by position:
27.34 deg, I 33; 30.42 deg, I 60; 31.19 deg, I 74; 33.36 deg, I 100; 34.45 deg, I 19; 35.14 deg, I 23; 36.03 deg, I 21; 36.25 deg, I 42; 36.91 deg, I 26; 55.08 deg, I 25

***

Entry 6:
Diffraction record for Ti5Fe4Sb4. The powder XRD pattern is theoretical, not measured: it uses a cell relaxed with PBE and Cu Ka.
Peak positions follow from Bragg's law for the DFT cell and can differ from measured ones.

Atomic structure:
Cell lengths 13.976, 13.976, 13.976 Å; angles 17.58, 17.58, 17.58 degrees
Positions (direct):
Ti1 0.000 0.000 0.000
Ti2 0.068 0.068 0.068
Ti3 0.255 0.255 0.255
Ti4 0.509 0.509 0.509
Ti5 0.760 0.760 0.760
Fe1 0.194 0.194 0.194
Fe2 0.439 0.439 0.439
Fe3 0.694 0.694 0.694
Fe4 0.944 0.944 0.944
Sb1 0.134 0.134 0.134
Sb2 0.373 0.373 0.373
Sb3 0.628 0.628 0.628
Sb4 0.881 0.881 0.881

The 10 most intense peaks (2θ from 10° to 80°), sorted by position:
25.58 deg, I 49; 25.91 deg, I 18; 29.72 deg, I 41; 42.32 deg, I 100; 42.74 deg, I 85; 50.29 deg, I 18; 61.71 deg, I 27; 77.40 deg, I 15; 77.69 deg, I 26; 78.55 deg, I 8

***

Entry 7:
Diffraction record for Y2FeSb. The powder XRD pattern is theoretical, not measured: it uses a cell relaxed with PBE and Cu Ka.
Peak positions follow from Bragg's law for the DFT cell and can differ from measured ones.

Atomic structure:
Cell lengths 6.959, 6.966, 3.914 Å; angles 90.00, 90.00, 90.00 degrees
Positions (direct):
Y1 0.250 0.250 0.000
Y2 0.250 0.750 0.000
Y3 0.750 0.250 0.000
Y4 0.750 0.750 0.000
Fe1 0.000 0.000 0.500
Fe2 0.500 0.500 0.500
Sb1 0.000 0.500 0.500
Sb2 0.500 0.000 0.500

The 10 most intense peaks (2θ from 10° to 80°), sorted by position:
18.02 deg, I 7; 29.15 deg, I 4; 34.48 deg, I 100; 36.50 deg, I 43; 46.40 deg, I 11; 52.58 deg, I 14; 60.43 deg, I 19; 64.40 deg, I 31; 72.71 deg, I 11; 78.26 deg, I 9

***

Entry 8:
Diffraction record for YFe2Sb2. The powder XRD pattern is theoretical, not measured: it uses a cell relaxed with PBE and Cu Ka.
Peak positions follow from Bragg's law for the DFT cell and can differ from measured ones.

Atomic structure:
Cell lengths 4.233, 4.233, 10.851 Å; angles 90.00, 90.00, 90.00 degrees
Positions (direct):
Y1 0.000 0.000 0.000
Y2 0.500 0.500 0.500
Fe1 0.000 0.500 0.250
Fe2 0.000 0.500 0.750
Fe3 0.500 0.000 0.250
Fe4 0.500 0.000 0.750
Sb1 0.000 0.000 0.366
Sb2 0.000 0.000 0.634
Sb3 0.500 0.500 0.134
Sb4 0.500 0.500 0.866

The 10 most intense peaks (2θ from 10° to 80°), sorted by position:
22.55 deg, I 15; 29.85 deg, I 35; 32.56 deg, I 100; 34.21 deg, I 35; 42.72 deg, I 57; 45.11 deg, I 33; 47.06 deg, I 18; 54.73 deg, I 44; 59.74 deg, I 16; 62.01 deg, I 18